# La6Ni20As13
Theoretical powder diffraction line list, Cu Kα, 1.54184 Å. Input: a DFT-relaxed cell (PBE, the Materials Project).
Peak positions follow from Bragg's law for the DFT cell and can differ from measured ones.

Principal peaks in the range 2θ = 10–80°, by intensity:
d = 2.498 Å, rel. 100
d = 2.014 Å, rel. 41
d = 2.559 Å, rel. 37
d = 1.838 Å, rel. 32
d = 1.673 Å, rel. 32
d = 2.774 Å, rel. 22

Unit cell a=13.2582 b=13.2582 c=4.0276 alpha=90.00 beta=90.00 gamma=120.00
Fractional coordinates of all 39 atoms:
La1 0.0542 0.2024 0.0000
La2 0.1482 0.9458 0.0000
La3 0.5165 0.3838 0.5000
La4 0.6162 0.1327 0.5000
La5 0.7976 0.8518 0.0000
La6 0.8673 0.4835 0.5000
Ni1 0.0000 0.0000 0.5000
Ni2 0.0271 0.4314 0.0000
Ni3 0.0915 0.7442 0.5000
Ni4 0.1372 0.5819 0.5000
Ni5 0.2558 0.3473 0.5000
Ni6 0.2573 0.5303 0.0000
Ni7 0.2730 0.7427 0.0000
Ni8 0.3078 0.2302 0.0000
Ni9 0.3580 0.1052 0.5000
Ni10 0.4042 0.9729 0.0000
Ni11 0.4181 0.5553 0.5000
Ni12 0.4447 0.8628 0.5000
Ni13 0.4697 0.7270 0.0000
Ni14 0.5686 0.5958 0.0000
Ni15 0.6527 0.9085 0.5000
Ni16 0.6667 0.3333 0.0000
Ni17 0.7472 0.6420 0.5000
Ni18 0.7698 0.0776 0.0000
Ni19 0.8948 0.2528 0.5000
Ni20 0.9224 0.6922 0.0000
As1 0.0635 0.6298 0.0000
As2 0.0997 0.3911 0.5000
As3 0.1992 0.1452 0.5000
As4 0.2914 0.9003 0.5000
As5 0.3333 0.6667 0.5000
As6 0.3702 0.4336 0.0000
As7 0.4663 0.1839 0.0000
As8 0.5664 0.9365 0.0000
As9 0.6089 0.7086 0.5000
As10 0.7176 0.5337 0.0000
As11 0.8161 0.2824 0.0000
As12 0.8548 0.0540 0.5000
As13 0.9460 0.8008 0.5000